(1)
Structure and simulated powder X-ray diffraction pattern of Li4InSb (a PBE-relaxed structure; a wavelength of 1.5418 Å).
No peak broadening, texture or thermal motion is included.

Largest 8 diffraction maxima, in order of rising 2θ, 2θ from 5° to 70°:
| two_theta | I (rel.) | h k l |
| --- | --- | --- |
| 22.14 | 100 | 1 0 0 |
| 29.36 | 15 | 0 0 2 |
| 37.07 | 63 | 0 1 2 |
| 38.85 | 30 | 1 1 0 |
| 45.16 | 15 | 2 0 0 |
| 49.43 | 21 | 1 1 2 |
| 54.78 | 20 | 2 0 2 |
| 69.17 | 19 | 1 2 2 |

Atomic structure:
Lattice parameters (Å, degrees): 4.6366 4.6366 6.0847 90.00 90.00 120.00
Space group P-3m1 (No. 164)
One atom of each set of equivalent atoms:
Li1 0.3333 0.6667 0.2465 x2
Li2 0.3333 0.6667 0.7511 x2
In1 0.0000 0.0000 0.0000 x1
Sb1 0.0000 0.0000 0.5000 x1

(2)
Structure and simulated powder X-ray diffraction pattern of BaLiCuO3 (a PBE-relaxed structure; a wavelength of 1.5418 Å).
No peak broadening, texture or thermal motion is included.

Largest 8 diffraction maxima, in order of rising 2θ, 2θ from 5° to 70°:
| two_theta | I (rel.) | h k l |
| --- | --- | --- |
| 24.54 | 100 | 4 0 -1 |
| 26.66 | 90 | 1 1 -1 |
| 30.05 | 39 | 1 1 1 |
| 30.28 | 81 | 4 0 -2 |
| 30.96 | 73 | 3 1 0 |
| 36.35 | 71 | 3 1 -2 |
| 41.48 | 44 | 1 1 2 |
| 41.66 | 34 | 6 0 0 |

Atomic structure:
Lattice parameters (Å, degrees): 14.582 3.873 6.625 90.00 116.86 90.00
Space group C2/m (No. 12)
One atom of each set of equivalent atoms:
Ba1 0.177 0.000 0.177 x4
Li1 0.100 0.000 0.599 x4
Cu1 0.000 0.500 0.271 x4
O1 0.000 0.000 0.270 x4
O2 0.141 0.500 0.423 x4
O3 0.142 0.500 0.863 x4

(3)
Structure and simulated powder X-ray diffraction pattern of Li5MgIn2 (a PBE-relaxed structure; a wavelength of 1.5418 Å).
No peak broadening, texture or thermal motion is included.

Largest 8 diffraction maxima, in order of rising 2θ, 2θ from 5° to 70°:
| two_theta | I (rel.) | h k l |
| --- | --- | --- |
| 19.16 | 69 | 0 0 1 |
| 21.91 | 100 | 1 2 0 |
| 25.81 | 27 | 1 1 1 |
| 29.26 | 98 | 1 2 1 |
| 36.46 | 26 | 2 0 1 |
| 37.28 | 67 | 0 4 1 |
| 38.88 | 23 | 0 0 2 |
| 45.08 | 29 | 1 2 2 |

Atomic structure:
Lattice parameters (Å, degrees): 5.821 11.312 4.632 90.00 90.00 90.00
Space group Pbam (No. 55)
One atom of each set of equivalent atoms:
Li1 0.000 0.000 0.000 x2
Li2 0.103 0.246 0.000 x4
Li3 0.183 0.637 0.500 x4
Mg1 0.000 0.500 0.000 x2
In1 0.184 0.888 0.500 x4

Please write out number 1 again, unchanged.
Structure and simulated powder X-ray diffraction pattern of Li4InSb (a PBE-relaxed structure; a wavelength of 1.5418 Å).
No peak broadening, texture or thermal motion is included.

Largest 8 diffraction maxima, in order of rising 2θ, 2θ from 5° to 70°:
| two_theta | I (rel.) | h k l |
| --- | --- | --- |
| 22.14 | 100 | 1 0 0 |
| 29.36 | 15 | 0 0 2 |
| 37.07 | 63 | 0 1 2 |
| 38.85 | 30 | 1 1 0 |
| 45.16 | 15 | 2 0 0 |
| 49.43 | 21 | 1 1 2 |
| 54.78 | 20 | 2 0 2 |
| 69.17 | 19 | 1 2 2 |

Atomic structure:
Lattice parameters (Å, degrees): 4.6366 4.6366 6.0847 90.00 90.00 120.00
Space group P-3m1 (No. 164)
One atom of each set of equivalent atoms:
Li1 0.3333 0.6667 0.2465 x2
Li2 0.3333 0.6667 0.7511 x2
In1 0.0000 0.0000 0.0000 x1
Sb1 0.0000 0.0000 0.5000 x1